[1]
Theoretical powder diffractogram
Compound: Pu2Ge3Pt9
Radiation: λ = 1.5418 Å (Cu Kα)
Structure: DFT lattice parameters and positions (PBE)

Structural model:
Unit cell a=7.8574 b=7.8574 c=10.2135 alpha=113.25 beta=113.25 gamma=60.31
Sites, in units of the cell vectors:
1 Pu 0.0850 0.2567 0.2496
2 Pu 0.2567 0.0850 0.7496
3 Pu 0.7433 0.9150 0.2504
4 Pu 0.9150 0.7433 0.7504
5 Ge 0.0000 0.5000 0.0000
6 Ge 0.1374 0.6848 0.5037
7 Ge 0.3152 0.8626 0.9963
8 Ge 0.5000 0.0000 0.5000
9 Ge 0.6848 0.1374 0.0037
10 Ge 0.8626 0.3152 0.4963
11 Pt 0.0210 0.8584 0.0810
12 Pt 0.1416 0.9790 0.4190
13 Pt 0.1966 0.3597 0.5774
14 Pt 0.2104 0.5824 0.2624
15 Pt 0.2989 0.4850 0.9311
16 Pt 0.3597 0.1966 0.0774
17 Pt 0.3668 0.6332 0.7500
18 Pt 0.4176 0.7896 0.2376
19 Pt 0.4850 0.2989 0.4311
20 Pt 0.5150 0.7011 0.5689
21 Pt 0.5824 0.2104 0.7624
22 Pt 0.6332 0.3668 0.2500
23 Pt 0.6403 0.8034 0.9226
24 Pt 0.7011 0.5150 0.0689
25 Pt 0.7896 0.4176 0.7376
26 Pt 0.8034 0.6403 0.4226
27 Pt 0.8584 0.0210 0.5810
28 Pt 0.9790 0.1416 0.9190

Largest 10 diffraction maxima, low angle first, 2θ from 10° to 90°:
2theta, I/Imax
34.85, 19
35.04, 15
37.25, 87
37.43, 77
37.73, 71
38.51, 21
39.62, 100
39.81, 45
44.44, 15
70.24, 44


[2]
Theoretical powder diffractogram
Compound: La5AsS5
Radiation: λ = 1.5418 Å (Cu Kα)
Structure: DFT lattice parameters and positions (PBE)

Structural model:
Unit cell a=7.2782 b=7.2782 c=8.4376 alpha=106.88 beta=106.88 gamma=48.02
Sites, in units of the cell vectors:
1 La 0.0000 0.0000 0.0000
2 La 0.3334 0.3334 0.6613
3 La 0.3387 0.3387 0.1769
4 La 0.6613 0.6613 0.8231
5 La 0.6666 0.6666 0.3387
6 As 0.5000 0.5000 0.0000
7 S 0.1709 0.1709 0.3298
8 S 0.1747 0.1747 0.8463
9 S 0.5000 0.5000 0.5000
10 S 0.8253 0.8253 0.1537
11 S 0.8291 0.8291 0.6702

Largest 10 diffraction maxima, low angle first, 2θ from 10° to 90°:
2theta, I/Imax
16.54, 18
25.96, 63
30.01, 100
30.18, 50
42.87, 18
43.08, 90
53.32, 19
53.47, 19
70.86, 24
78.96, 17


[3]
Theoretical powder diffractogram
Compound: Li2InPd6
Radiation: λ = 1.5418 Å (Cu Kα)
Structure: DFT lattice parameters and positions (PBE)

Structural model:
Unit cell a=4.4378 b=4.4378 c=8.0958 alpha=90.00 beta=90.00 gamma=120.00
Sites, in units of the cell vectors:
1 Li 0.3333 0.6667 0.2294
2 Li 0.6667 0.3333 0.7706
3 In 0.0000 0.0000 0.0000
4 Pd 0.0000 0.0000 0.3301
5 Pd 0.0000 0.0000 0.6699
6 Pd 0.3333 0.6667 0.5416
7 Pd 0.3333 0.6667 0.8828
8 Pd 0.6667 0.3333 0.1172
9 Pd 0.6667 0.3333 0.4584

Largest 10 diffraction maxima, low angle first, 2θ from 10° to 90°:
2theta, I/Imax
21.96, 11
25.66, 32
32.11, 11
40.66, 98
40.86, 100
59.01, 33
73.99, 16
74.13, 33
74.54, 14
88.03, 10


[4]
Theoretical powder diffractogram
Compound: Ac7Hg3
Radiation: λ = 1.5418 Å (Cu Kα)
Structure: DFT lattice parameters and positions (PBE)

Structural model:
Unit cell a=11.1558 b=11.1558 c=7.2416 alpha=90.00 beta=90.00 gamma=120.00
Sites, in units of the cell vectors:
1 Ac 0.0782 0.5391 0.0000
2 Ac 0.1257 0.2513 0.2786
3 Ac 0.1257 0.8743 0.2786
4 Ac 0.2513 0.1257 0.7786
5 Ac 0.3333 0.6667 0.4319
6 Ac 0.4609 0.5391 0.0000
7 Ac 0.4609 0.9218 0.0000
8 Ac 0.5391 0.0782 0.5000
9 Ac 0.5391 0.4609 0.5000
10 Ac 0.6667 0.3333 0.9319
11 Ac 0.7487 0.8743 0.2786
12 Ac 0.8743 0.1257 0.7786
13 Ac 0.8743 0.7487 0.7786
14 Ac 0.9218 0.4609 0.5000
15 Hg 0.1938 0.3876 0.7054
16 Hg 0.1938 0.8062 0.7054
17 Hg 0.3876 0.1938 0.2054
18 Hg 0.6124 0.8062 0.7054
19 Hg 0.8062 0.1938 0.2054
20 Hg 0.8062 0.6124 0.2054

Largest 10 diffraction maxima, low angle first, 2θ from 10° to 90°:
2theta, I/Imax
26.29, 41
27.35, 100
27.70, 22
30.38, 87
30.86, 62
32.09, 46
48.14, 22
48.78, 24
48.99, 23
56.36, 24


[5]
Theoretical powder diffractogram
Compound: CaYB12
Radiation: λ = 1.5418 Å (Cu Kα)
Structure: DFT lattice parameters and positions (PBE)

Structural model:
Unit cell a=5.8282 b=5.8282 c=5.8282 alpha=60.00 beta=60.00 gamma=60.00
Sites, in units of the cell vectors:
1 Ca 0.0000 0.0000 0.0000
2 Y 0.5000 0.5000 0.5000
3 B 0.1000 0.1000 0.4000
4 B 0.1000 0.4000 0.1000
5 B 0.1000 0.4000 0.4000
6 B 0.4000 0.1000 0.1000
7 B 0.4000 0.1000 0.4000
8 B 0.4000 0.4000 0.1000
9 B 0.6000 0.6000 0.9000
10 B 0.6000 0.9000 0.6000
11 B 0.6000 0.9000 0.9000
12 B 0.9000 0.6000 0.6000
13 B 0.9000 0.6000 0.9000
14 B 0.9000 0.9000 0.6000

Largest 10 diffraction maxima, low angle first, 2θ from 10° to 90°:
2theta, I/Imax
18.65, 24
21.56, 27
30.68, 100
36.14, 14
37.81, 46
43.94, 24
49.45, 43
54.54, 15
68.28, 29
72.53, 21


[6]
Theoretical powder diffractogram
Compound: Ac2HoLu
Radiation: λ = 1.5418 Å (Cu Kα)
Structure: DFT lattice parameters and positions (PBE)

Structural model:
Unit cell a=5.9477 b=5.9477 c=5.9477 alpha=60.00 beta=60.00 gamma=60.00
Sites, in units of the cell vectors:
1 Ac 0.2500 0.2500 0.2500
2 Ac 0.7500 0.7500 0.7500
3 Ho 0.0000 0.0000 0.0000
4 Lu 0.5000 0.5000 0.5000

Largest 10 diffraction maxima, low angle first, 2θ from 10° to 90°:
2theta, I/Imax
21.12, 2
30.05, 100
37.02, 1
43.01, 19
48.40, 1
53.36, 41
62.46, 13
70.85, 18
78.84, 4
86.61, 22


[7]
Theoretical powder diffractogram
Compound: Li4Si
Radiation: λ = 1.5418 Å (Cu Kα)
Structure: DFT lattice parameters and positions (PBE)

Structural model:
Unit cell a=7.5066 b=7.5066 c=7.5066 alpha=146.33 beta=138.05 gamma=54.83
Sites, in units of the cell vectors:
1 Li 0.0000 0.0000 0.0000
2 Li 0.1626 0.4126 0.7500
3 Li 0.2249 0.2006 0.0243
4 Li 0.3236 0.7994 0.5243
5 Li 0.5000 0.0000 0.5000
6 Li 0.6764 0.2006 0.4757
7 Li 0.7751 0.7994 0.9757
8 Li 0.8374 0.5874 0.2500
9 Si 0.3645 0.6145 0.7500
10 Si 0.6355 0.3855 0.2500

Largest 10 diffraction maxima, low angle first, 2θ from 10° to 90°:
2theta, I/Imax
17.80, 100
21.50, 61
26.02, 37
26.76, 27
29.63, 86
39.66, 73
40.02, 78
41.54, 37
43.26, 41
61.52, 28


[8]
Theoretical powder diffractogram
Compound: NdThTlOs
Radiation: λ = 1.5418 Å (Cu Kα)
Structure: DFT lattice parameters and positions (PBE)

Structural model:
Unit cell a=8.4576 b=8.4576 c=8.4576 alpha=28.42 beta=28.42 gamma=28.42
Sites, in units of the cell vectors:
1 Nd 0.0000 0.0000 0.0000
2 Th 0.7914 0.7914 0.7914
3 Tl 0.2298 0.2298 0.2298
4 Os 0.4007 0.4007 0.4007

Largest 10 diffraction maxima, low angle first, 2θ from 10° to 90°:
2theta, I/Imax
10.91, 19
25.83, 31
28.84, 21
30.92, 100
35.93, 23
43.59, 50
45.00, 22
54.39, 21
55.33, 11
72.15, 18


[9]
Theoretical powder diffractogram
Compound: Tb5YEr8
Radiation: λ = 1.5418 Å (Cu Kα)
Structure: DFT lattice parameters and positions (PBE)

Structural model:
Unit cell a=8.3807 b=8.3807 c=8.3807 alpha=110.91 beta=110.91 gamma=106.63
Sites, in units of the cell vectors:
1 Tb 0.0000 0.0000 0.0000
2 Tb 0.3116 0.6354 0.1005
3 Tb 0.3646 0.4651 0.6763
4 Tb 0.5349 0.2112 0.8995
5 Tb 0.7888 0.6884 0.3237
6 Y 0.7500 0.2500 0.5000
7 Er 0.0240 0.4192 0.2529
8 Er 0.0758 0.1590 0.7390
9 Er 0.1663 0.7710 0.7471
10 Er 0.2290 0.9760 0.3953
11 Er 0.4200 0.3368 0.2610
12 Er 0.5808 0.8337 0.6047
13 Er 0.6632 0.9242 0.0832
14 Er 0.8410 0.5800 0.9168

Largest 10 diffraction maxima, low angle first, 2θ from 10° to 90°:
2theta, I/Imax
28.34, 50
29.57, 60
29.72, 72
32.08, 22
34.16, 100
34.81, 41
35.20, 50
55.64, 18
56.83, 15
63.79, 19


[10]
Theoretical powder diffractogram
Compound: Lu2Ga8Co
Radiation: λ = 1.5418 Å (Cu Kα)
Structure: DFT lattice parameters and positions (PBE)

Structural model:
Unit cell a=4.1956 b=4.1956 c=10.9922 alpha=90.00 beta=90.00 gamma=90.00
Sites, in units of the cell vectors:
1 Lu 0.0000 0.0000 0.1940
2 Lu 0.0000 0.0000 0.8060
3 Ga 0.0000 0.5000 0.0000
4 Ga 0.0000 0.5000 0.3826
5 Ga 0.0000 0.5000 0.6174
6 Ga 0.5000 0.0000 0.0000
7 Ga 0.5000 0.0000 0.3826
8 Ga 0.5000 0.0000 0.6174
9 Ga 0.5000 0.5000 0.1940
10 Ga 0.5000 0.5000 0.8060
11 Co 0.0000 0.0000 0.5000

Largest 10 diffraction maxima, low angle first, 2θ from 10° to 90°:
2theta, I/Imax
21.18, 25
32.44, 14
34.35, 51
39.07, 100
41.06, 22
43.12, 56
61.06, 27
62.63, 18
76.35, 41
77.65, 13


[11]
Theoretical powder diffractogram
Compound: Li4Tl7Cd
Radiation: λ = 1.5418 Å (Cu Kα)
Structure: DFT lattice parameters and positions (PBE)

Structural model:
Unit cell a=7.7029 b=7.7029 c=9.3025 alpha=122.50 beta=122.50 gamma=42.78
Sites, in units of the cell vectors:
1 Li 0.0454 0.0454 0.2230
2 Li 0.1879 0.1879 0.8545
3 Li 0.8121 0.8121 0.1455
4 Li 0.9546 0.9546 0.7770
5 Tl 0.0000 0.0000 0.5000
6 Tl 0.2342 0.2342 0.1965
7 Tl 0.2831 0.2831 0.6163
8 Tl 0.4346 0.4346 0.1004
9 Tl 0.5654 0.5654 0.8996
10 Tl 0.7169 0.7169 0.3837
11 Tl 0.7658 0.7658 0.8035
12 Cd 0.5000 0.5000 0.5000

Largest 10 diffraction maxima, low angle first, 2θ from 10° to 90°:
2theta, I/Imax
23.41, 34
25.54, 100
30.54, 61
31.85, 69
32.81, 40
33.09, 55
35.16, 34
36.65, 27
41.25, 28
44.71, 43


[12]
Theoretical powder diffractogram
Compound: Ag3SeI
Radiation: λ = 1.5418 Å (Cu Kα)
Structure: DFT lattice parameters and positions (PBE)

Structural model:
Unit cell a=8.9377 b=8.9377 c=7.1517 alpha=90.00 beta=90.00 gamma=151.58
Sites, in units of the cell vectors:
1 Ag 0.0882 0.9118 0.5000
2 Ag 0.2343 0.7657 0.2735
3 Ag 0.3516 0.6484 0.5942
4 Ag 0.6484 0.3516 0.0942
5 Ag 0.7657 0.2343 0.7735
6 Ag 0.9118 0.0882 0.0000
7 Se 0.3188 0.6812 0.9633
8 Se 0.6812 0.3188 0.4633
9 I 0.0709 0.9291 0.9141
10 I 0.9291 0.0709 0.4141

Largest 10 diffraction maxima, low angle first, 2θ from 10° to 90°:
2theta, I/Imax
20.88, 42
24.02, 58
25.49, 52
28.43, 100
32.47, 57
32.72, 56
41.15, 73
41.72, 69
41.90, 68
43.52, 74


- Which formula does entry 3 have?
  Li2InPd6


Copy entry 1 word for word.
Theoretical powder diffractogram
Compound: Pu2Ge3Pt9
Radiation: λ = 1.5418 Å (Cu Kα)
Structure: DFT lattice parameters and positions (PBE)

Structural model:
Unit cell a=7.8574 b=7.8574 c=10.2135 alpha=113.25 beta=113.25 gamma=60.31
Sites, in units of the cell vectors:
1 Pu 0.0850 0.2567 0.2496
2 Pu 0.2567 0.0850 0.7496
3 Pu 0.7433 0.9150 0.2504
4 Pu 0.9150 0.7433 0.7504
5 Ge 0.0000 0.5000 0.0000
6 Ge 0.1374 0.6848 0.5037
7 Ge 0.3152 0.8626 0.9963
8 Ge 0.5000 0.0000 0.5000
9 Ge 0.6848 0.1374 0.0037
10 Ge 0.8626 0.3152 0.4963
11 Pt 0.0210 0.8584 0.0810
12 Pt 0.1416 0.9790 0.4190
13 Pt 0.1966 0.3597 0.5774
14 Pt 0.2104 0.5824 0.2624
15 Pt 0.2989 0.4850 0.9311
16 Pt 0.3597 0.1966 0.0774
17 Pt 0.3668 0.6332 0.7500
18 Pt 0.4176 0.7896 0.2376
19 Pt 0.4850 0.2989 0.4311
20 Pt 0.5150 0.7011 0.5689
21 Pt 0.5824 0.2104 0.7624
22 Pt 0.6332 0.3668 0.2500
23 Pt 0.6403 0.8034 0.9226
24 Pt 0.7011 0.5150 0.0689
25 Pt 0.7896 0.4176 0.7376
26 Pt 0.8034 0.6403 0.4226
27 Pt 0.8584 0.0210 0.5810
28 Pt 0.9790 0.1416 0.9190

Largest 10 diffraction maxima, low angle first, 2θ from 10° to 90°:
2theta, I/Imax
34.85, 19
35.04, 15
37.25, 87
37.43, 77
37.73, 71
38.51, 21
39.62, 100
39.81, 45
44.44, 15
70.24, 44